No. 1
The following is a theoretical PXRD pattern of CaLa12Pr7. It was derived from a PBE-relaxed structure, using λ = 1.5418 Å (Cu Kα).

Principal peaks in the range 10 to 90 degrees two-theta, sorted by position:
2θ/deg, d [Å], I (rel.)
14.9, 5.950, 31
25.9, 3.435, 64
30.0, 2.975, 100
43.0, 2.104, 74
50.9, 1.794, 30
53.3, 1.718, 26
70.8, 1.330, 33
78.8, 1.214, 24

Structure:
```
CaLa12Pr7
1.0
-5.950 5.950 5.950
5.950 -5.950 5.950
5.950 5.950 -5.950
Ca La Pr
1 12 7
Direct
0.000 0.000 0.000
0.001 0.255 0.746
0.254 0.510 0.255
0.254 0.999 0.745
0.255 0.254 0.510
0.255 0.746 0.001
0.490 0.745 0.746
0.510 0.255 0.254
0.745 0.254 0.999
0.745 0.746 0.490
0.746 0.001 0.255
0.746 0.490 0.745
0.999 0.745 0.254
0.000 0.000 0.500
0.000 0.500 0.000
0.000 0.500 0.500
0.500 0.000 0.000
0.500 0.000 0.500
0.500 0.500 0.000
0.500 0.500 0.500
```

---

No. 2
The following is a theoretical PXRD pattern of Ca2LaPr6. It was derived from a PBE-relaxed structure, using λ = 1.5418 Å (Cu Kα).

Principal peaks in the range 10 to 90 degrees two-theta, sorted by position:
2θ/deg, d [Å], I (rel.)
16.1, 5.496, 30
26.8, 3.328, 35
28.7, 3.112, 100
29.7, 3.005, 36
30.3, 2.948, 50
34.0, 2.637, 89
58.7, 1.573, 26
60.8, 1.523, 23

Structure:
```
Ca2LaPr6
1.0
-1.746 5.496 8.845
1.746 -5.496 8.845
1.746 5.496 -8.845
Ca La Pr
2 1 6
Direct
0.162 0.162 0.000
0.838 0.838 0.000
0.500 0.500 0.000
0.150 0.334 0.816
0.200 0.000 0.200
0.482 0.666 0.816
0.518 0.334 0.184
0.800 0.000 0.800
0.850 0.666 0.184
```

---

No. 3
The following is a theoretical PXRD pattern of CaLa6Pr2. It was derived from a PBE-relaxed structure, using λ = 1.5418 Å (Cu Kα).

Principal peaks in the range 10 to 90 degrees two-theta, sorted by position:
2θ/deg, d [Å], I (rel.)
28.2, 3.167, 25
29.6, 3.017, 53
30.1, 2.966, 100
30.3, 2.946, 29
32.0, 2.794, 21
34.1, 2.627, 21
52.9, 1.732, 19
53.9, 1.702, 14

Structure:
```
CaLa6Pr2
1.0
9.163 -5.108 0.000
9.163 5.108 0.000
-0.565 0.000 3.607
Ca La Pr
1 6 2
Direct
0.000 0.000 0.000
0.013 0.648 0.353
0.337 0.664 0.494
0.352 0.986 0.656
0.648 0.013 0.353
0.664 0.337 0.494
0.986 0.352 0.656
0.343 0.343 0.890
0.658 0.658 0.096
```

---

No. 4
The following is a theoretical PXRD pattern of Ca2LaPr7. It was derived from a PBE-relaxed structure, using λ = 1.5418 Å (Cu Kα).

Principal peaks in the range 10 to 90 degrees two-theta, sorted by position:
2θ/deg, d [Å], I (rel.)
29.6, 3.020, 100
31.4, 2.845, 22
31.8, 2.816, 20
39.2, 2.300, 12
45.3, 2.001, 16
51.1, 1.789, 11
54.8, 1.674, 18
59.4, 1.556, 14

Structure:
```
Ca2LaPr7
1.0
-2.845 3.631 8.920
2.845 -3.631 8.920
2.845 3.631 -8.920
Ca La Pr
2 1 7
Direct
0.200 0.200 0.000
0.800 0.800 0.000
0.500 0.000 0.500
0.000 0.000 0.000
0.151 0.397 0.754
0.305 0.805 0.500
0.357 0.603 0.754
0.643 0.397 0.246
0.695 0.195 0.500
0.849 0.603 0.246
```

---

No. 5
The following is a theoretical PXRD pattern of CaLaPr14. It was derived from a PBE-relaxed structure, using λ = 1.5418 Å (Cu Kα).

Principal peaks in the range 10 to 90 degrees two-theta, sorted by position:
2θ/deg, d [Å], I (rel.)
27.4, 3.252, 24
29.6, 3.019, 26
31.2, 2.863, 100
40.8, 2.213, 16
48.5, 1.878, 19
53.5, 1.711, 22
57.8, 1.594, 23
58.8, 1.570, 16

Structure:
```
CaLaPr14
1.0
12.075 0.000 0.000
0.000 3.755 6.506
0.000 -3.755 6.506
Ca La Pr
1 1 14
Direct
0.000 0.000 0.000
0.000 0.498 0.498
0.000 0.004 0.497
0.000 0.497 0.004
0.250 0.333 0.333
0.251 0.831 0.831
0.252 0.338 0.831
0.252 0.831 0.338
0.500 0.000 0.000
0.500 0.000 0.500
0.500 0.500 0.000
0.500 0.500 0.500
0.748 0.338 0.831
0.748 0.831 0.338
0.749 0.831 0.831
0.750 0.333 0.333
```

---

No. 6
The following is a theoretical PXRD pattern of CaLa2Pr12. It was derived from a PBE-relaxed structure, using λ = 1.5418 Å (Cu Kα).

Principal peaks in the range 10 to 90 degrees two-theta, sorted by position:
2θ/deg, d [Å], I (rel.)
27.5, 3.247, 67
28.5, 3.131, 37
29.9, 2.986, 37
30.3, 2.948, 64
30.6, 2.924, 100
34.4, 2.605, 44
38.0, 2.369, 34
53.4, 1.717, 44

Structure:
```
CaLa2Pr12
1.0
6.701 0.000 0.000
0.000 6.701 0.000
0.000 0.000 26.357
Ca La Pr
2 4 24
Direct
0.250 0.750 0.000
0.750 0.250 0.000
0.250 0.750 0.270
0.250 0.750 0.730
0.750 0.250 0.270
0.750 0.250 0.730
0.065 0.565 0.122
0.065 0.935 0.878
0.082 0.582 0.561
0.082 0.918 0.439
0.250 0.250 0.220
0.250 0.250 0.341
0.250 0.250 0.659
0.250 0.250 0.780
0.418 0.582 0.439
0.418 0.918 0.561
0.435 0.565 0.878
0.435 0.935 0.122
0.565 0.065 0.878
0.565 0.435 0.122
0.582 0.082 0.439
0.582 0.418 0.561
0.750 0.750 0.220
0.750 0.750 0.341
0.750 0.750 0.659
0.750 0.750 0.780
0.918 0.082 0.561
0.918 0.418 0.439
0.935 0.065 0.122
0.935 0.435 0.878
```

---

No. 7
The following is a theoretical PXRD pattern of Ca2La5Pr3. It was derived from a PBE-relaxed structure, using λ = 1.5418 Å (Cu Kα).

Principal peaks in the range 10 to 90 degrees two-theta, sorted by position:
2θ/deg, d [Å], I (rel.)
19.9, 4.459, 57
28.0, 3.191, 75
28.4, 3.146, 73
30.0, 2.980, 100
30.2, 2.962, 98
30.8, 2.900, 27
32.1, 2.788, 78
47.0, 1.934, 37

Structure:
```
Ca2La5Pr3
1.0
5.577 -7.639 0.000
5.577 7.639 0.000
-5.422 0.000 8.915
Ca La Pr
4 10 6
Direct
0.030 0.278 0.048
0.278 0.030 0.548
0.722 0.970 0.452
0.970 0.722 0.952
0.119 0.364 0.733
0.230 0.770 0.750
0.278 0.722 0.250
0.364 0.119 0.233
0.485 0.515 0.250
0.515 0.485 0.750
0.636 0.881 0.767
0.722 0.278 0.750
0.770 0.230 0.250
0.881 0.636 0.267
0.025 0.975 0.750
0.216 0.473 0.438
0.473 0.216 0.938
0.527 0.784 0.062
0.784 0.527 0.562
0.975 0.025 0.250
```

---

No. 8
The following is a theoretical PXRD pattern of Ca3LaPr6. It was derived from a PBE-relaxed structure, using λ = 1.5418 Å (Cu Kα).

Principal peaks in the range 10 to 90 degrees two-theta, sorted by position:
2θ/deg, d [Å], I (rel.)
24.0, 3.707, 24
27.9, 3.201, 32
28.1, 3.177, 100
30.7, 2.915, 34
32.5, 2.756, 95
42.1, 2.148, 23
46.5, 1.955, 35
46.7, 1.944, 22

Structure:
```
Ca3LaPr6
1.0
6.733 0.000 0.000
-3.366 5.831 0.000
0.000 0.000 9.603
Ca La Pr
3 1 6
Direct
0.000 0.000 0.000
0.333 0.667 0.000
0.667 0.333 0.000
0.000 0.000 0.500
0.000 0.393 0.318
0.000 0.607 0.682
0.393 0.000 0.318
0.393 0.393 0.682
0.607 0.000 0.682
0.607 0.607 0.318
```